Diffraction record for SrGa2Te4. The PXRD pattern is calculated, not measured: it uses the PBE geometry in the Materials Project and CuKα.
Kinematic intensities with the Lorentz-polarization factor, no thermal factor.

Cell and atoms:
```
SrGa2Te4
1.0
3.403 -5.918 0.000
3.403 5.918 0.000
0.000 0.000 11.908
Sr Ga Te
2 4 8
direct
0.000 0.000 0.250
0.000 0.000 0.750
0.258 0.739 0.000
0.261 0.742 0.500
0.739 0.258 0.500
0.742 0.261 0.000
0.000 0.500 0.174
0.000 0.500 0.826
0.156 0.310 0.500
0.310 0.156 0.000
0.500 0.000 0.326
0.500 0.000 0.674
0.690 0.844 0.000
0.844 0.690 0.500
```

Main lines, in order of rising 2θ (2θ from 10° to 80°):
5.936 Å, 2θ 14.9, I = 36
3.293 Å, 2θ 27.1, I = 83
3.281 Å, 2θ 27.2, I = 83
2.977 Å, 2θ 30.0, I = 20
2.959 Å, 2θ 30.2, I = 21
2.644 Å, 2θ 33.9, I = 100
2.091 Å, 2θ 43.3, I = 18
1.953 Å, 2θ 46.5, I = 25
1.948 Å, 2θ 46.6, I = 25
1.942 Å, 2θ 46.8, I = 35